Record 1
Structure and calculated PXRD pattern of La5Pr2YTh (the GGA-PBE geometry in Alexandria; copper Kα).
No peak broadening, texture or thermal motion is included.

Structural model:
```
La5Pr2YTh
1.0
2.7945 -11.1029 0.0000
2.7945 11.1029 0.0000
0.0000 0.0000 10.6257
La Pr Y Th
10 4 2 2
Direct
0.0000 0.0000 0.0000
0.0000 0.0000 0.5000
0.1308 0.8692 0.7500
0.2250 0.7750 0.0589
0.2250 0.7750 0.4411
0.4994 0.5006 0.7500
0.5006 0.4994 0.2500
0.7750 0.2250 0.5589
0.7750 0.2250 0.9411
0.8692 0.1308 0.2500
0.3881 0.6119 0.5017
0.3881 0.6119 0.9983
0.6119 0.3881 0.0017
0.6119 0.3881 0.4983
0.1031 0.8969 0.2500
0.8969 0.1031 0.7500
0.2902 0.7098 0.7500
0.7098 0.2902 0.2500
```

Peak list (10 most intense, 10 to 90 degrees two-theta, by intensity)
2θ/deg  d [Å]  I_rel
30.73  2.909  100
32.03  2.795  33
30.14  2.965  23
32.26  2.775  20
56.28  1.635  20
33.74  2.656  18
47.21  1.925  14
26.09  3.416  14
25.49  3.495  10
58.49  1.578  9


Record 2
Structure and calculated PXRD pattern of La14CeEr (the GGA-PBE geometry in Alexandria; copper Kα).
No peak broadening, texture or thermal motion is included.

Structural model:
```
La14CeEr
1.0
10.5017 0.0000 0.0000
0.0000 5.2178 5.2175
0.0000 -5.2178 5.2175
La Ce Er
14 1 1
Direct
0.0000 0.0000 0.0000
0.0000 0.0024 0.4981
0.0000 0.4981 0.0024
0.0000 0.5000 0.5000
0.2536 0.7527 0.7527
0.2554 0.2472 0.7529
0.2554 0.7529 0.2472
0.2573 0.2469 0.2469
0.5000 0.5022 0.9984
0.5000 0.9984 0.5022
0.7427 0.2469 0.2469
0.7446 0.2472 0.7529
0.7446 0.7529 0.2472
0.7464 0.7527 0.7527
0.5000 0.0003 0.0003
0.5000 0.5001 0.5001
```

Peak list (10 most intense, 10 to 90 degrees two-theta, by intensity)
2θ/deg  d [Å]  I_rel
29.59  3.019  100
34.38  2.609  34
58.65  1.574  29
49.24  1.851  24
34.15  2.625  17
58.35  1.581  14
61.43  1.509  12
49.40  1.845  12
79.90  1.201  11
80.15  1.197  6


Record 3
Structure and calculated PXRD pattern of Dy2Mn17B2 (the GGA-PBE geometry in Alexandria; copper Kα).
No peak broadening, texture or thermal motion is included.

Structural model:
```
Dy2Mn17B2
1.0
4.8114 -4.2933 0.0000
4.8114 4.2933 0.0000
-0.9345 0.0000 6.3789
Dy Mn B
2 17 2
Direct
0.1427 0.1427 0.3450
0.8573 0.8573 0.6550
0.0000 0.5000 0.0000
0.1515 0.1515 0.8671
0.1669 0.6413 0.3355
0.2242 0.4942 0.7278
0.2244 0.7756 0.0000
0.3587 0.8331 0.6645
0.3946 0.3946 0.1013
0.4942 0.2242 0.7278
0.5000 0.0000 0.0000
0.5000 0.5000 0.5000
0.5058 0.7758 0.2722
0.6054 0.6054 0.8987
0.6413 0.1669 0.3355
0.7756 0.2244 0.0000
0.7758 0.5058 0.2722
0.8331 0.3587 0.6645
0.8485 0.8485 0.1329
0.0000 0.5000 0.5000
0.5000 0.0000 0.5000
```

Peak list (10 most intense, 10 to 90 degrees two-theta, by intensity)
2θ/deg  d [Å]  I_rel
42.55  2.125  100
41.97  2.153  70
30.07  2.972  57
44.04  2.056  53
43.51  2.080  45
37.92  2.373  39
36.20  2.481  35
42.09  2.147  34
32.62  2.745  32
31.40  2.849  28


Record 4
Structure and calculated PXRD pattern of Tb2RhPb2 (the GGA-PBE geometry in Alexandria; copper Kα).
No peak broadening, texture or thermal motion is included.

Structural model:
```
Tb2RhPb2
1.0
4.5212 0.0000 0.0000
2.2582 5.5870 0.0000
2.2566 0.6567 10.1569
Tb Rh Pb
4 2 4
Direct
0.0044 0.1633 0.3269
0.1835 0.2655 0.8670
0.8165 0.7345 0.1330
0.9956 0.8367 0.6731
0.2823 0.6183 0.3187
0.7177 0.3817 0.6813
0.3436 0.2642 0.5467
0.4595 0.6957 0.8868
0.5405 0.3043 0.1132
0.6564 0.7358 0.4533
```

Peak list (10 most intense, 10 to 90 degrees two-theta, by intensity)
2θ/deg  d [Å]  I_rel
31.03  2.882  100
37.44  2.402  81
39.89  2.260  70
30.27  2.953  54
32.11  2.788  50
31.24  2.863  43
34.53  2.597  37
52.09  1.756  30
39.32  2.292  26
61.62  1.505  24


Record 5
Structure and calculated PXRD pattern of PrFeRe (the GGA-PBE geometry in Alexandria; copper Kα).
No peak broadening, texture or thermal motion is included.

Structural model:
```
PrFeRe
1.0
6.8230 0.0000 0.0000
0.0000 6.8230 0.0000
0.0000 0.0000 5.9113
Pr Fe Re
4 4 4
Direct
0.2371 0.2371 0.0000
0.2629 0.7371 0.2500
0.7371 0.2629 0.7500
0.7629 0.7629 0.5000
0.1408 0.8592 0.7500
0.3592 0.3592 0.5000
0.6408 0.6408 0.0000
0.8592 0.1408 0.2500
0.1170 0.1170 0.5000
0.3830 0.6170 0.7500
0.6170 0.3830 0.2500
0.8830 0.8830 0.0000
```

Peak list (10 most intense, 10 to 90 degrees two-theta, by intensity)
2θ/deg  d [Å]  I_rel
33.04  2.712  100
35.62  2.520  89
18.39  4.825  55
42.59  2.123  40
48.73  1.869  32
57.86  1.594  29
26.12  3.412  27
50.65  1.802  23
29.27  3.051  22
66.15  1.413  19


Record 6
Structure and calculated PXRD pattern of BaZr4 (the GGA-PBE geometry in Alexandria; copper Kα).
No peak broadening, texture or thermal motion is included.

Structural model:
```
BaZr4
1.0
9.1805 0.0000 0.0000
0.0000 9.1805 0.0000
0.0000 0.0000 3.3071
Ba Zr
2 8
Direct
0.0000 0.0000 0.0000
0.5000 0.5000 0.5000
0.1202 0.3435 0.5000
0.1565 0.6202 0.0000
0.3435 0.8798 0.5000
0.3798 0.1565 0.0000
0.6202 0.8435 0.0000
0.6565 0.1202 0.5000
0.8435 0.3798 0.0000
0.8798 0.6565 0.5000
```

Peak list (10 most intense, 10 to 90 degrees two-theta, by intensity)
2θ/deg  d [Å]  I_rel
34.83  2.575  100
30.80  2.903  75
57.40  1.605  24
64.90  1.437  17
61.16  1.515  15
44.93  2.018  15
44.12  2.053  14
56.72  1.623  8
75.13  1.265  8
28.69  3.111  7


Record 7
Structure and calculated PXRD pattern of CaLa2BiO6 (the GGA-PBE geometry in Alexandria; copper Kα).
No peak broadening, texture or thermal motion is included.

Structural model:
```
CaLa2BiO6
1.0
3.0437 1.7573 5.1530
-3.0437 1.7573 5.1530
0.0000 -3.5145 5.1530
Ca La Bi O
1 2 1 6
Direct
0.0000 0.0000 0.0000
0.2756 0.2756 0.2756
0.7755 0.7755 0.7755
0.4947 0.4947 0.4947
0.1230 0.6861 0.3782
0.1971 0.6130 0.8681
0.3782 0.1230 0.6861
0.6130 0.8681 0.1971
0.6861 0.3782 0.1230
0.8681 0.1971 0.6130
```

Peak list (10 most intense, 10 to 90 degrees two-theta, by intensity)
2θ/deg  d [Å]  I_rel
28.64  3.117  100
29.34  3.044  98
41.47  2.178  45
51.61  1.771  45
17.78  4.990  38
52.04  1.757  30
46.16  1.967  25
34.22  2.621  19
68.63  1.368  16
50.29  1.814  15


Record 8
Structure and calculated PXRD pattern of Ti2CoRe2 (the GGA-PBE geometry in Alexandria; copper Kα).
No peak broadening, texture or thermal motion is included.

Structural model:
```
Ti2CoRe2
1.0
2.9904 0.0000 0.0000
0.0000 16.8476 0.0000
0.0000 0.0000 2.9713
Ti Co Re
4 2 4
Direct
0.0000 0.0888 0.0000
0.0000 0.9112 0.0000
0.5000 0.4112 0.0000
0.5000 0.5888 0.0000
0.0000 0.5000 0.5000
0.5000 0.0000 0.5000
0.0000 0.3112 0.5000
0.0000 0.6888 0.5000
0.5000 0.1888 0.5000
0.5000 0.8112 0.5000
```

Peak list (10 most intense, 10 to 90 degrees two-theta, by intensity)
2θ/deg  d [Å]  I_rel
10.50  8.424  100
40.32  2.237  86
31.92  2.804  54
43.26  2.091  44
30.08  2.971  43
44.39  2.041  42
45.99  1.973  39
33.96  2.640  39
51.12  1.787  37
77.06  1.238  25


Record 9
Structure and calculated PXRD pattern of LaTb2YEr2 (the GGA-PBE geometry in Alexandria; copper Kα).
No peak broadening, texture or thermal motion is included.

Structural model:
```
LaTb2YEr2
1.0
6.9702 0.0000 0.0000
0.0000 9.8445 0.0000
0.0000 0.0000 5.6373
La Tb Y Er
2 4 2 4
Direct
0.0000 0.0000 0.0000
0.5000 0.5000 0.5000
0.2479 0.3334 0.0000
0.2521 0.8334 0.5000
0.7479 0.1666 0.5000
0.7521 0.6666 0.0000
0.0000 0.5000 0.5000
0.5000 0.0000 0.0000
0.2487 0.6666 0.0000
0.2513 0.1666 0.5000
0.7487 0.8334 0.5000
0.7513 0.3334 0.0000
```

Peak list (10 most intense, 10 to 90 degrees two-theta, by intensity)
2θ/deg  d [Å]  I_rel
31.52  2.838  100
31.75  2.819  22
56.42  1.631  16
62.56  1.485  14
45.29  2.002  13
56.06  1.640  12
41.03  2.200  10
25.56  3.485  9
56.20  1.637  7
45.10  2.010  7


Record 10
Structure and calculated PXRD pattern of Ag3Pb6Br14 (the GGA-PBE geometry in Alexandria; copper Kα).
No peak broadening, texture or thermal motion is included.

Structural model:
```
Ag3Pb6Br14
1.0
11.0414 0.0000 0.0000
-5.5207 9.5621 0.0000
0.0000 0.0000 7.0443
Ag Pb Br
3 6 14
Direct
0.0000 0.0000 0.0000
0.3333 0.6667 0.5211
0.6667 0.3333 0.1014
0.0502 0.4546 0.9548
0.3016 0.1935 0.4578
0.4045 0.9498 0.9548
0.5454 0.5955 0.9548
0.8065 0.1081 0.4578
0.8919 0.6984 0.4578
0.0000 0.0000 0.6239
0.0961 0.2498 0.1857
0.1537 0.9039 0.1857
0.1692 0.7556 0.6852
0.2444 0.4136 0.6852
0.3333 0.6667 0.1424
0.4196 0.2216 0.8539
0.5277 0.0892 0.3445
0.5615 0.4723 0.3445
0.5864 0.8308 0.6852
0.7502 0.8463 0.1857
0.7784 0.1980 0.8539
0.8020 0.5804 0.8539
0.9108 0.4385 0.3445
```

Peak list (10 most intense, 10 to 90 degrees two-theta, by intensity)
2θ/deg  d [Å]  I_rel
22.47  3.956  100
35.59  2.522  70
27.74  3.216  65
20.44  4.345  63
31.55  2.836  62
42.91  2.108  57
32.43  2.760  56
36.19  2.482  53
30.79  2.904  53
45.33  2.001  39


Record 11
Structure and calculated PXRD pattern of Fe21Tc2B6 (the GGA-PBE geometry in Alexandria; copper Kα).
No peak broadening, texture or thermal motion is included.

Structural model:
```
Fe21Tc2B6
1.0
0.0000 5.2890 5.2890
5.2890 0.0000 5.2890
5.2890 5.2890 0.0000
Fe Tc B
21 2 6
Direct
0.0000 0.0000 0.0000
0.0000 0.0000 0.3426
0.0000 0.0000 0.6574
0.0000 0.3426 0.0000
0.0000 0.3426 0.6574
0.0000 0.6574 0.0000
0.0000 0.6574 0.3426
0.1444 0.6186 0.6186
0.3426 0.0000 0.0000
0.3426 0.0000 0.6574
0.3426 0.6574 0.0000
0.3814 0.3814 0.3814
0.3814 0.3814 0.8556
0.3814 0.8556 0.3814
0.6186 0.1444 0.6186
0.6186 0.6186 0.1444
0.6186 0.6186 0.6186
0.6574 0.0000 0.0000
0.6574 0.0000 0.3426
0.6574 0.3426 0.0000
0.8556 0.3814 0.3814
0.2500 0.2500 0.2500
0.7500 0.7500 0.7500
0.2762 0.2762 0.7238
0.2762 0.7238 0.2762
0.2762 0.7238 0.7238
0.7238 0.2762 0.2762
0.7238 0.2762 0.7238
0.7238 0.7238 0.2762
```

Peak list (10 most intense, 10 to 90 degrees two-theta, by intensity)
2θ/deg  d [Å]  I_rel
44.51  2.036  100
41.84  2.159  45
38.04  2.365  39
48.70  1.870  30
76.40  1.247  28
51.08  1.788  27
57.82  1.595  12
78.27  1.221  12
73.88  1.283  11
16.76  5.289  8


Record 12
Structure and calculated PXRD pattern of Ag4IBr3 (the GGA-PBE geometry in Alexandria; copper Kα).
No peak broadening, texture or thermal motion is included.

Structural model:
```
Ag4IBr3
1.0
8.9890 0.0000 0.0000
0.0000 7.7652 0.0000
0.0000 0.0000 7.2634
Ag I Br
8 2 6
Direct
0.0000 0.1625 0.0000
0.0000 0.8357 0.2372
0.2470 0.6709 0.0070
0.2530 0.3291 0.5070
0.5000 0.1643 0.7372
0.5000 0.8375 0.5000
0.7470 0.3291 0.5070
0.7530 0.6709 0.0070
0.0000 0.8317 0.8348
0.5000 0.1683 0.3348
0.0000 0.1700 0.3806
0.2481 0.6660 0.3852
0.2519 0.3340 0.8852
0.5000 0.8300 0.8806
0.7481 0.3340 0.8852
0.7519 0.6660 0.3852
```

Peak list (10 most intense, 10 to 90 degrees two-theta, by intensity)
2θ/deg  d [Å]  I_rel
22.88  3.887  100
40.18  2.244  89
44.06  2.055  78
61.14  1.516  28
28.90  3.089  26
26.00  3.428  23
24.51  3.632  23
47.63  1.909  22
75.76  1.256  20
15.69  5.650  19